Theoretical X-ray powder pattern of KCu4MoS4 for Cu Kα (weighted mean of Kα1 and Kα2), from a DFT-relaxed cell (PBE, OQMD).

Structural model:
Cell: 6.764 6.034 9.712 Å, 90.00 104.77 90.00°
Element x y z (fractional)
K 0.136 0.000 0.142
K 0.864 0.500 0.858
Cu 0.175 0.570 0.412
Cu 0.197 0.186 0.552
Cu 0.367 0.186 0.887
Cu 0.480 0.815 0.512
Cu 0.520 0.315 0.488
Cu 0.633 0.686 0.113
Cu 0.803 0.686 0.448
Cu 0.825 0.070 0.588
Mo 0.278 0.787 0.717
Mo 0.722 0.287 0.283
S 0.047 0.506 0.606
S 0.055 0.013 0.808
S 0.426 0.558 0.901
S 0.484 0.587 0.321
S 0.516 0.087 0.679
S 0.574 0.058 0.099
S 0.945 0.513 0.192
S 0.953 0.006 0.394

Peak list (10 most intense, 2θ from 10° to 80°, low angle first)
d_spacing  I/Imax
6.153  100
5.077  34
2.977  66
2.779  50
2.740  35
2.591  39
2.558  63
2.403  46
2.059  46
1.733  50



Theoretical X-ray powder pattern of KCu3MoSe4 for Cu Kα (weighted mean of Kα1 and Kα2), from a DFT-relaxed cell (PBE, OQMD).

Structural model:
Cell: 6.130 6.130 6.130 Å, 90.00 90.00 90.00°
Element x y z (fractional)
K 0.000 0.000 0.000
Cu 0.000 0.500 0.500
Cu 0.500 0.000 0.500
Cu 0.500 0.500 0.000
Mo 0.500 0.500 0.500
Se 0.274 0.274 0.274
Se 0.274 0.726 0.726
Se 0.726 0.274 0.726
Se 0.726 0.726 0.274

Peak list (10 most intense, 2θ from 10° to 80°, low angle first)
d_spacing  I/Imax
6.130  53
4.334  10
3.539  76
2.167  100
2.043  12
1.848  30
1.700  15
1.532  14
1.406  10
1.251  27



Theoretical X-ray powder pattern of K2NaCu3P2 for Cu Kα (weighted mean of Kα1 and Kα2), from a DFT-relaxed cell (PBE, OQMD).

Structural model:
Cell: 7.273 7.273 7.273 Å, 44.66 44.66 44.66°
Element x y z (fractional)
K 0.093 0.093 0.093
K 0.907 0.907 0.907
Na 0.500 0.500 0.500
Cu 0.000 0.500 0.500
Cu 0.500 0.000 0.500
Cu 0.500 0.500 0.000
P 0.252 0.252 0.252
P 0.748 0.748 0.748

Peak list (10 most intense, 2θ from 10° to 80°, low angle first)
d_spacing  I/Imax
6.536  100
4.301  24
3.033  53
2.545  23
2.375  52
2.325  32
2.150  35
2.110  37
1.712  26
1.382  18



Theoretical X-ray powder pattern of KNa2Cu3P2 for Cu Kα (weighted mean of Kα1 and Kα2), from a DFT-relaxed cell (PBE, OQMD).

Structural model:
Cell: 7.075 7.075 7.075 Å, 43.75 43.75 43.75°
Element x y z (fractional)
K 0.000 0.000 0.000
Na 0.409 0.409 0.409
Na 0.591 0.591 0.591
Cu 0.000 0.000 0.500
Cu 0.000 0.500 0.000
Cu 0.500 0.000 0.000
P 0.254 0.254 0.254
P 0.746 0.746 0.746

Peak list (10 most intense, 2θ from 10° to 80°, low angle first)
d_spacing  I/Imax
6.387  100
4.441  27
4.121  25
2.935  45
2.436  34
2.267  42
2.221  38
2.061  53
2.033  25
1.652  30



Theoretical X-ray powder pattern of KNb2CuS4 for Cu Kα (weighted mean of Kα1 and Kα2), from a DFT-relaxed cell (PBE, OQMD).

Structural model:
Cell: 6.361 6.361 12.647 Å, 90.00 90.00 143.73°
Element x y z (fractional)
K 0.133 0.867 0.500
K 0.867 0.133 0.000
Nb 0.388 0.612 0.297
Nb 0.399 0.601 0.689
Nb 0.601 0.399 0.189
Nb 0.612 0.388 0.797
Cu 0.149 0.851 0.990
Cu 0.851 0.149 0.490
S 0.007 0.993 0.742
S 0.244 0.756 0.148
S 0.257 0.743 0.840
S 0.445 0.555 0.492
S 0.555 0.445 0.992
S 0.743 0.257 0.340
S 0.756 0.244 0.648
S 0.993 0.007 0.242

Peak list (10 most intense, 2θ from 10° to 80°, low angle first)
d_spacing  I/Imax
5.454  88
3.458  31
3.233  60
2.756  43
2.579  100
2.346  56
2.333  46
1.980  46
1.962  36
1.884  37



Theoretical X-ray powder pattern of K2NbCuSe4 for Cu Kα (weighted mean of Kα1 and Kα2), from a DFT-relaxed cell (PBE, OQMD).

Structural model:
Cell: 13.875 12.428 7.396 Å, 84.81 63.13 32.06°
Element x y z (fractional)
K 0.054 0.054 0.696
K 0.304 0.304 0.946
K 0.696 0.696 0.054
K 0.946 0.946 0.304
Nb 0.125 0.125 0.125
Nb 0.875 0.875 0.875
Cu 0.375 0.375 0.375
Cu 0.625 0.625 0.625
Se 0.041 0.324 0.416
Se 0.281 0.584 0.676
Se 0.324 0.041 0.719
Se 0.416 0.719 0.041
Se 0.584 0.281 0.959
Se 0.676 0.959 0.281
Se 0.719 0.416 0.324
Se 0.959 0.676 0.584

Peak list (10 most intense, 2θ from 10° to 80°, low angle first)
d_spacing  I/Imax
6.044  61
5.933  100
3.468  33
3.262  77
2.871  79
2.345  52
2.260  35
2.165  49
1.853  35
1.784  29



Theoretical X-ray powder pattern of KNdCu4S4 for Cu Kα (weighted mean of Kα1 and Kα2), from a DFT-relaxed cell (PBE, OQMD).

Structural model:
Cell: 7.049 6.148 9.977 Å, 90.00 107.49 90.00°
Element x y z (fractional)
K 0.099 0.000 0.125
K 0.901 0.500 0.875
Nd 0.338 0.758 0.773
Nd 0.662 0.258 0.227
Cu 0.130 0.659 0.411
Cu 0.220 0.261 0.545
Cu 0.348 0.193 0.916
Cu 0.498 0.500 0.499
Cu 0.502 0.000 0.501
Cu 0.652 0.693 0.084
Cu 0.780 0.761 0.455
Cu 0.870 0.159 0.589
S 0.015 0.527 0.595
S 0.063 0.023 0.807
S 0.358 0.515 0.016
S 0.443 0.749 0.339
S 0.557 0.249 0.661
S 0.642 0.015 0.984
S 0.937 0.523 0.193
S 0.985 0.027 0.405

Peak list (10 most intense, 2θ from 10° to 80°, low angle first)
d_spacing  I/Imax
6.486  95
3.677  72
2.994  53
2.907  32
2.819  100
2.778  69
2.516  34
2.314  64
2.289  52
2.269  37



Question: Number 1 is which compound?
Answer: KCu4MoS4



Question: Which formula does entry 6 have?
Answer: K2NbCuSe4